Record 1
Structure and theoretical powder X-ray diffraction pattern of In2PbIO8 (a PBE-relaxed structure; CuKα).

Atomic structure:
Cell: 4.926 4.926 6.791 Å, 90.00 90.00 92.21°
Sites, in units of the cell vectors:
1 In 0.000 0.000 0.247
2 In 0.000 0.000 0.753
3 Pb 0.500 0.500 0.500
4 I 0.500 0.500 0.000
5 O 0.191 0.191 0.500
6 O 0.208 0.208 0.000
7 O 0.314 0.686 0.223
8 O 0.314 0.686 0.777
9 O 0.686 0.314 0.223
10 O 0.686 0.314 0.777
11 O 0.792 0.792 0.000
12 O 0.809 0.809 0.500

Most intense lines, 2θ from 10° to 90°, most intense first:
two_theta, intensity
32.02, 100
25.09, 60
26.09, 53
48.76, 41
49.90, 37
36.51, 28
62.91, 22
66.96, 11
87.23, 11
60.44, 10
58.62, 10
51.49, 9

Record 2
Structure and theoretical powder X-ray diffraction pattern of Li2MgSnAu4 (a PBE-relaxed structure; CuKα).

Atomic structure:
Cell: 8.146 8.146 8.146 Å, 32.83 32.83 32.83°
Sites, in units of the cell vectors:
1 Li 0.250 0.250 0.250
2 Li 0.750 0.750 0.750
3 Mg 0.000 0.000 0.000
4 Sn 0.500 0.500 0.500
5 Au 0.118 0.118 0.118
6 Au 0.371 0.371 0.371
7 Au 0.629 0.629 0.629
8 Au 0.882 0.882 0.882

Most intense lines, 2θ from 10° to 90°, most intense first:
two_theta, intensity
27.18, 100
39.13, 90
38.49, 88
70.48, 31
56.06, 30
48.30, 22
63.83, 19
62.94, 16
70.91, 16
69.21, 13
84.10, 11
23.61, 8

Record 3
Structure and theoretical powder X-ray diffraction pattern of Sm2ZnTe2S2O14 (a PBE-relaxed structure; CuKα).

Atomic structure:
Cell: 5.382 8.024 8.281 Å, 64.24 73.43 86.41°
Sites, in units of the cell vectors:
1 Sm 0.087 0.251 0.016
2 Sm 0.913 0.749 0.984
3 Zn 0.000 0.000 0.500
4 Te 0.476 0.733 0.658
5 Te 0.524 0.267 0.342
6 S 0.230 0.753 0.250
7 S 0.770 0.247 0.750
8 O 0.086 0.596 0.259
9 O 0.136 0.775 0.426
10 O 0.178 0.922 0.088
11 O 0.248 0.567 0.891
12 O 0.248 0.926 0.664
13 O 0.281 0.192 0.254
14 O 0.488 0.274 0.786
15 O 0.512 0.726 0.214
16 O 0.719 0.808 0.746
17 O 0.752 0.074 0.336
18 O 0.752 0.433 0.109
19 O 0.822 0.078 0.912
20 O 0.864 0.225 0.574
21 O 0.914 0.404 0.741

Most intense lines, 2θ from 10° to 90°, most intense first:
two_theta, intensity
24.70, 100
24.23, 84
13.11, 67
29.41, 66
36.84, 55
24.04, 50
34.66, 41
25.96, 40
32.80, 40
30.03, 38
34.93, 37
27.13, 36

Record 4
Structure and theoretical powder X-ray diffraction pattern of Ag3SnBr7 (a PBE-relaxed structure; CuKα).

Atomic structure:
Cell: 7.544 7.544 7.142 Å, 95.11 95.11 75.56°
Sites, in units of the cell vectors:
1 Ag 0.000 0.000 0.000
2 Ag 0.138 0.578 0.276
3 Ag 0.578 0.138 0.276
4 Sn 0.359 0.359 0.751
5 Br 0.028 0.440 0.587
6 Br 0.225 0.225 0.051
7 Br 0.293 0.686 0.950
8 Br 0.440 0.028 0.587
9 Br 0.493 0.493 0.473
10 Br 0.686 0.293 0.950
11 Br 0.819 0.819 0.179

Most intense lines, 2θ from 10° to 90°, most intense first:
two_theta, intensity
28.30, 100
27.82, 98
14.95, 90
12.14, 82
18.04, 81
32.91, 66
40.05, 58
37.28, 54
20.58, 51
49.05, 42
41.89, 41
42.95, 40

Record 5
Structure and theoretical powder X-ray diffraction pattern of Er5Ag6 (a PBE-relaxed structure; CuKα).

Atomic structure:
Cell: 8.727 8.727 8.727 Å, 146.80 130.74 60.70°
Sites, in units of the cell vectors:
1 Er 0.000 0.000 0.000
2 Er 0.170 0.670 0.500
3 Er 0.346 0.346 0.000
4 Er 0.654 0.654 0.000
5 Er 0.830 0.330 0.500
6 Ag 0.068 0.828 0.241
7 Ag 0.232 0.500 0.732
8 Ag 0.413 0.172 0.241
9 Ag 0.587 0.828 0.759
10 Ag 0.768 0.500 0.268
11 Ag 0.932 0.172 0.759

Most intense lines, 2θ from 10° to 90°, most intense first:
two_theta, intensity
35.40, 100
36.03, 25
35.77, 23
64.36, 17
51.68, 16
64.03, 15
74.89, 10
86.84, 10
50.17, 9
63.30, 9
63.13, 8
84.47, 7

Record 6
Structure and theoretical powder X-ray diffraction pattern of Li5Pm (a PBE-relaxed structure; CuKα).

Atomic structure:
Cell: 8.196 8.196 3.342 Å, 90.00 90.00 142.07°
Sites, in units of the cell vectors:
1 Li 0.000 0.000 0.000
2 Li 0.153 0.847 0.500
3 Li 0.312 0.688 0.000
4 Li 0.688 0.312 0.000
5 Li 0.847 0.153 0.500
6 Pm 0.500 0.500 0.500

Most intense lines, 2θ from 10° to 90°, most intense first:
two_theta, intensity
11.42, 100
17.61, 76
36.18, 38
23.99, 38
32.14, 36
29.10, 25
22.95, 22
33.44, 18
43.28, 16
45.07, 15
26.68, 15
44.31, 14

Record 7
Structure and theoretical powder X-ray diffraction pattern of SmTaPd6 (a PBE-relaxed structure; CuKα).

Atomic structure:
Cell: 4.066 4.066 8.145 Å, 90.00 90.00 90.00°
Sites, in units of the cell vectors:
1 Sm 0.000 0.000 0.000
2 Ta 0.000 0.000 0.500
3 Pd 0.000 0.500 0.269
4 Pd 0.000 0.500 0.731
5 Pd 0.500 0.000 0.269
6 Pd 0.500 0.000 0.731
7 Pd 0.500 0.500 0.000
8 Pd 0.500 0.500 0.500

Most intense lines, 2θ from 10° to 90°, most intense first:
two_theta, intensity
38.32, 100
44.55, 48
64.83, 30
77.92, 25
77.81, 10
82.06, 10
21.85, 4
10.86, 3
31.09, 3
45.99, 2
50.15, 2
55.31, 2

Record 8
Structure and theoretical powder X-ray diffraction pattern of CaCe2SmSb4 (a PBE-relaxed structure; CuKα).

Atomic structure:
Cell: 7.745 4.512 7.822 Å, 90.00 109.58 90.00°
Sites, in units of the cell vectors:
1 Ca 0.000 0.000 0.000
2 Ce 0.500 0.000 0.500
3 Ce 0.500 0.500 0.000
4 Sm 0.000 0.500 0.500
5 Sb 0.253 0.000 0.749
6 Sb 0.256 0.500 0.255
7 Sb 0.744 0.500 0.745
8 Sb 0.747 0.000 0.251

Most intense lines, 2θ from 10° to 90°, most intense first:
two_theta, intensity
28.05, 100
39.95, 38
40.23, 38
49.52, 21
65.43, 18
65.82, 17
57.98, 13
72.77, 9
49.99, 7
72.54, 6
73.30, 6
72.66, 4